Structure and simulated X-ray diffraction stick pattern of TbY5Ho2Th (a cell relaxed with GGA-PBE; λ = 1.5418 Å (Cu Kα)).
Kinematic intensities with the Lorentz-polarization factor, no thermal factor.

Structural model:
abc: 11.0717 11.0717 9.7011
angles: 90.00 90.00 149.98
Fractional coordinates of all 18 atoms:
Tb 0.0971 0.9029 0.5000
Tb 0.9029 0.0971 0.0000
Y 0.0277 0.9723 0.1825
Y 0.1096 0.8904 0.8867
Y 0.1951 0.8049 0.2155
Y 0.2335 0.7665 0.5911
Y 0.4862 0.5138 0.9138
Y 0.5138 0.4862 0.4138
Y 0.7665 0.2335 0.0911
Y 0.8049 0.1951 0.7155
Y 0.8904 0.1096 0.3867
Y 0.9723 0.0277 0.6825
Ho 0.3696 0.6304 0.2170
Ho 0.3875 0.6125 0.6047
Ho 0.6125 0.3875 0.1047
Ho 0.6304 0.3696 0.7170
Th 0.3120 0.6880 0.9045
Th 0.6880 0.3120 0.4045

Principal peaks in the range 2θ from 5° to 70°, sorted by position:
- 26.64 deg, 3.346 Å, intensity 13
- 31.18 deg, 2.868 Å, intensity 39
- 32.00 deg, 2.797 Å, intensity 100
- 34.52 deg, 2.598 Å, intensity 20
- 41.47 deg, 2.177 Å, intensity 8
- 56.01 deg, 1.642 Å, intensity 23
- 57.63 deg, 1.599 Å, intensity 10
- 63.48 deg, 1.465 Å, intensity 12

Structure and simulated X-ray diffraction stick pattern of Tb5YHo2Th (a cell relaxed with GGA-PBE; λ = 1.5418 Å (Cu Kα)).
Kinematic intensities with the Lorentz-polarization factor, no thermal factor.

Structural model:
abc: 11.1246 11.1246 9.7131
angles: 90.00 90.00 150.26
Fractional coordinates of all 18 atoms:
Tb 0.0147 0.9853 0.5000
Tb 0.2723 0.7277 0.1953
Tb 0.3040 0.6960 0.8000
Tb 0.3989 0.6011 0.4753
Tb 0.4685 0.5315 0.7745
Tb 0.5315 0.4685 0.2745
Tb 0.6011 0.3989 0.9753
Tb 0.6960 0.3040 0.3000
Tb 0.7277 0.2723 0.6953
Tb 0.9853 0.0147 0.0000
Y 0.1896 0.8104 0.5002
Y 0.8104 0.1896 0.0002
Ho 0.1161 0.8839 0.1864
Ho 0.1284 0.8716 0.8059
Ho 0.8716 0.1284 0.3059
Ho 0.8839 0.1161 0.6864
Th 0.4055 0.5945 0.0947
Th 0.5945 0.4055 0.5947

Principal peaks in the range 2θ from 5° to 70°, sorted by position:
- 26.51 deg, 3.362 Å, intensity 20
- 31.33 deg, 2.855 Å, intensity 61
- 31.91 deg, 2.805 Å, intensity 100
- 32.05 deg, 2.793 Å, intensity 57
- 33.11 deg, 2.705 Å, intensity 22
- 34.21 deg, 2.621 Å, intensity 20
- 34.41 deg, 2.606 Å, intensity 31
- 56.17 deg, 1.638 Å, intensity 32

Structure and simulated X-ray diffraction stick pattern of Tb8Ho3Tl (a cell relaxed with GGA-PBE; λ = 1.5418 Å (Cu Kα)).
Kinematic intensities with the Lorentz-polarization factor, no thermal factor.

Structural model:
abc: 8.3119 8.3119 8.3119
angles: 117.73 117.73 93.98
Fractional coordinates of all 12 atoms:
Tb 0.1297 0.1297 0.7454
Tb 0.2336 0.7232 0.0000
Tb 0.2768 0.2768 0.5104
Tb 0.3843 0.3843 0.2546
Tb 0.6157 0.8703 0.0000
Tb 0.7232 0.2336 0.0000
Tb 0.7664 0.7664 0.4896
Tb 0.8703 0.6157 0.0000
Ho 0.2500 0.7500 0.5000
Ho 0.5000 0.5000 0.0000
Ho 0.7500 0.2500 0.5000
Tl 0.0000 0.0000 0.0000

Principal peaks in the range 2θ from 5° to 70°, sorted by position:
- 21.43 deg, 4.146 Å, intensity 31
- 24.45 deg, 3.640 Å, intensity 55
- 26.02 deg, 3.425 Å, intensity 35
- 29.39 deg, 3.039 Å, intensity 74
- 31.56 deg, 2.835 Å, intensity 60
- 36.67 deg, 2.451 Å, intensity 100
- 43.66 deg, 2.073 Å, intensity 44
- 45.12 deg, 2.009 Å, intensity 43

Structure and simulated X-ray diffraction stick pattern of Tb3HoTl3 (a cell relaxed with GGA-PBE; λ = 1.5418 Å (Cu Kα)).
Kinematic intensities with the Lorentz-polarization factor, no thermal factor.

Structural model:
abc: 9.4222 9.4222 5.2478
angles: 90.00 90.00 120.00
Fractional coordinates of all 14 atoms:
Tb 0.0023 0.2359 0.2500
Tb 0.2336 0.9977 0.2500
Tb 0.2359 0.2336 0.7500
Tb 0.7641 0.7664 0.2500
Tb 0.7664 0.0023 0.7500
Tb 0.9977 0.7641 0.7500
Ho 0.3333 0.6667 0.2500
Ho 0.6667 0.3333 0.7500
Tl 0.0709 0.4499 0.7500
Tl 0.3789 0.9291 0.7500
Tl 0.4499 0.3789 0.2500
Tl 0.5501 0.6211 0.7500
Tl 0.6211 0.0709 0.2500
Tl 0.9291 0.5501 0.2500

Principal peaks in the range 2θ from 5° to 70°, sorted by position:
- 28.95 deg, 3.084 Å, intensity 22
- 33.71 deg, 2.659 Å, intensity 100
- 34.17 deg, 2.624 Å, intensity 25
- 45.38 deg, 1.998 Å, intensity 13
- 51.31 deg, 1.781 Å, intensity 14
- 60.88 deg, 1.522 Å, intensity 19
- 62.81 deg, 1.480 Å, intensity 8
- 63.10 deg, 1.473 Å, intensity 15

Structure and simulated X-ray diffraction stick pattern of Tb4HoTl3 (a cell relaxed with GGA-PBE; λ = 1.5418 Å (Cu Kα)).
Kinematic intensities with the Lorentz-polarization factor, no thermal factor.

Structural model:
abc: 3.5968 8.8776 14.9745
angles: 90.00 90.00 90.00
Fractional coordinates of all 16 atoms:
Tb 0.0000 0.1990 0.1376
Tb 0.0000 0.1990 0.8624
Tb 0.0000 0.8010 0.1376
Tb 0.0000 0.8010 0.8624
Tb 0.5000 0.3010 0.3624
Tb 0.5000 0.3010 0.6376
Tb 0.5000 0.6990 0.3624
Tb 0.5000 0.6990 0.6376
Ho 0.0000 0.5000 0.0000
Ho 0.5000 0.0000 0.5000
Tl 0.0000 0.0000 0.3155
Tl 0.0000 0.0000 0.6845
Tl 0.0000 0.5000 0.5000
Tl 0.5000 0.0000 0.0000
Tl 0.5000 0.5000 0.1845
Tl 0.5000 0.5000 0.8155

Principal peaks in the range 2θ from 5° to 70°, sorted by position:
- 29.33 deg, 3.045 Å, intensity 100
- 31.26 deg, 2.862 Å, intensity 64
- 32.60 deg, 2.747 Å, intensity 47
- 35.26 deg, 2.545 Å, intensity 51
- 36.04 deg, 2.492 Å, intensity 75
- 36.86 deg, 2.438 Å, intensity 74
- 41.31 deg, 2.186 Å, intensity 28
- 64.33 deg, 1.448 Å, intensity 34

Structure and simulated X-ray diffraction stick pattern of Tb4Ho2Tl (a cell relaxed with GGA-PBE; λ = 1.5418 Å (Cu Kα)).
Kinematic intensities with the Lorentz-polarization factor, no thermal factor.

Structural model:
abc: 5.6502 6.7617 11.6442
angles: 90.00 102.84 90.00
Fractional coordinates of all 14 atoms:
Tb 0.1134 0.2500 0.1419
Tb 0.2269 0.7500 0.4139
Tb 0.3348 0.5105 0.7070
Tb 0.3348 0.9895 0.7070
Tb 0.6652 0.0105 0.2930
Tb 0.6652 0.4895 0.2930
Tb 0.7731 0.2500 0.5861
Tb 0.8866 0.7500 0.8581
Ho 0.2093 0.2500 0.4370
Ho 0.4538 0.7500 0.0214
Ho 0.5462 0.2500 0.9786
Ho 0.7907 0.7500 0.5630
Tl 0.0140 0.7500 0.1419
Tl 0.9860 0.2500 0.8581

Principal peaks in the range 2θ from 5° to 70°, sorted by position:
- 30.78 deg, 2.905 Å, intensity 49
- 31.09 deg, 2.877 Å, intensity 57
- 31.52 deg, 2.839 Å, intensity 100
- 31.68 deg, 2.824 Å, intensity 83
- 32.11 deg, 2.788 Å, intensity 85
- 32.95 deg, 2.719 Å, intensity 43
- 33.19 deg, 2.699 Å, intensity 45
- 64.16 deg, 1.452 Å, intensity 47

Structure and simulated X-ray diffraction stick pattern of Tb2HoTl3 (a cell relaxed with GGA-PBE; λ = 1.5418 Å (Cu Kα)).
Kinematic intensities with the Lorentz-polarization factor, no thermal factor.

Structural model:
abc: 3.6690 3.6690 12.2504
angles: 90.00 90.00 90.00
Fractional coordinates of all 6 atoms:
Tb 0.0000 0.0000 0.1674
Tb 0.0000 0.0000 0.8326
Ho 0.0000 0.0000 0.5000
Tl 0.5000 0.5000 0.0000
Tl 0.5000 0.5000 0.3351
Tl 0.5000 0.5000 0.6649

Principal peaks in the range 2θ from 5° to 70°, sorted by position:
- 24.26 deg, 3.669 Å, intensity 1
- 32.82 deg, 2.729 Å, intensity 100
- 34.57 deg, 2.594 Å, intensity 44
- 44.37 deg, 2.042 Å, intensity 11
- 49.70 deg, 1.834 Å, intensity 16
- 57.43 deg, 1.604 Å, intensity 21
- 60.84 deg, 1.523 Å, intensity 35
- 68.80 deg, 1.365 Å, intensity 12

Structure and simulated X-ray diffraction stick pattern of TbHo4Tl5 (a cell relaxed with GGA-PBE; λ = 1.5418 Å (Cu Kα)).
Kinematic intensities with the Lorentz-polarization factor, no thermal factor.

Structural model:
abc: 3.7497 3.7497 19.3122
angles: 90.00 90.00 90.00
Fractional coordinates of all 10 atoms:
Tb 0.0000 0.0000 0.0000
Ho 0.0000 0.0000 0.2014
Ho 0.0000 0.0000 0.4005
Ho 0.0000 0.0000 0.5995
Ho 0.0000 0.0000 0.7986
Tl 0.5000 0.5000 0.1018
Tl 0.5000 0.5000 0.3010
Tl 0.5000 0.5000 0.5000
Tl 0.5000 0.5000 0.6990
Tl 0.5000 0.5000 0.8982

Principal peaks in the range 2θ from 5° to 70°, sorted by position:
- 23.73 deg, 3.750 Å, intensity 1
- 33.30 deg, 2.690 Å, intensity 100
- 33.81 deg, 2.651 Å, intensity 48
- 47.05 deg, 1.931 Å, intensity 10
- 48.56 deg, 1.875 Å, intensity 18
- 59.19 deg, 1.561 Å, intensity 20
- 60.16 deg, 1.538 Å, intensity 37
- 69.93 deg, 1.345 Å, intensity 12

Structure and simulated X-ray diffraction stick pattern of Tb6Ho5Tl (a cell relaxed with GGA-PBE; λ = 1.5418 Å (Cu Kα)).
Kinematic intensities with the Lorentz-polarization factor, no thermal factor.

Structural model:
abc: 9.3212 9.3212 9.3212
angles: 149.23 115.79 72.88
Fractional coordinates of all 12 atoms:
Tb 0.0801 0.3333 0.7467
Tb 0.2456 0.0000 0.2456
Tb 0.4134 0.6667 0.7467
Tb 0.5866 0.3333 0.2533
Tb 0.7544 0.0000 0.7544
Tb 0.9199 0.6667 0.2533
Ho 0.1681 0.1681 0.0000
Ho 0.3364 0.8364 0.5000
Ho 0.5000 0.5000 0.0000
Ho 0.6636 0.1636 0.5000
Ho 0.8319 0.8319 0.0000
Tl 0.0000 0.5000 0.5000

Principal peaks in the range 2θ from 5° to 70°, sorted by position:
- 31.19 deg, 2.867 Å, intensity 100
- 35.93 deg, 2.500 Å, intensity 17
- 36.30 deg, 2.475 Å, intensity 33
- 52.00 deg, 1.759 Å, intensity 24
- 52.27 deg, 1.750 Å, intensity 12
- 61.65 deg, 1.505 Å, intensity 14
- 62.14 deg, 1.494 Å, intensity 28
- 65.06 deg, 1.434 Å, intensity 12

Structure and simulated X-ray diffraction stick pattern of Tb2Ho5Tl4 (a cell relaxed with GGA-PBE; λ = 1.5418 Å (Cu Kα)).
Kinematic intensities with the Lorentz-polarization factor, no thermal factor.

Structural model:
abc: 15.1102 15.1102 15.1102
angles: 166.84 147.03 35.63
Fractional coordinates of all 11 atoms:
Tb 0.0968 0.0968 0.0000
Tb 0.9032 0.9032 0.0000
Ho 0.0000 0.5000 0.5000
Ho 0.0042 0.2015 0.8027
Ho 0.3988 0.2015 0.1973
Ho 0.6012 0.7985 0.8027
Ho 0.9958 0.7985 0.1973
Tl 0.3030 0.3030 0.0000
Tl 0.3183 0.0000 0.3183
Tl 0.6817 0.0000 0.6817
Tl 0.6970 0.6970 0.0000

Principal peaks in the range 2θ from 5° to 70°, sorted by position:
- 12.31 deg, 7.193 Å, intensity 52
- 18.54 deg, 4.785 Å, intensity 45
- 28.49 deg, 3.133 Å, intensity 36
- 31.08 deg, 2.877 Å, intensity 53
- 32.69 deg, 2.739 Å, intensity 39
- 36.85 deg, 2.439 Å, intensity 100
- 38.35 deg, 2.347 Å, intensity 29
- 59.13 deg, 1.562 Å, intensity 25

Structure and simulated X-ray diffraction stick pattern of Tb7Ho4Tl (a cell relaxed with GGA-PBE; λ = 1.5418 Å (Cu Kα)).
Kinematic intensities with the Lorentz-polarization factor, no thermal factor.

Structural model:
abc: 3.5534 3.5534 34.1749
angles: 90.00 90.00 120.00
Fractional coordinates of all 12 atoms:
Tb 0.0000 0.0000 0.0000
Tb 0.0000 0.0000 0.2537
Tb 0.0000 0.0000 0.7463
Tb 0.3333 0.6667 0.1686
Tb 0.3333 0.6667 0.4218
Tb 0.6667 0.3333 0.5782
Tb 0.6667 0.3333 0.8314
Ho 0.3333 0.6667 0.6619
Ho 0.3333 0.6667 0.9157
Ho 0.6667 0.3333 0.0843
Ho 0.6667 0.3333 0.3381
Tl 0.0000 0.0000 0.5000

Principal peaks in the range 2θ from 5° to 70°, sorted by position:
- 30.89 deg, 2.895 Å, intensity 100
- 31.41 deg, 2.848 Å, intensity 30
- 35.97 deg, 2.497 Å, intensity 65
- 51.43 deg, 1.777 Å, intensity 24
- 52.12 deg, 1.755 Å, intensity 21
- 61.21 deg, 1.514 Å, intensity 14
- 61.52 deg, 1.507 Å, intensity 27
- 64.36 deg, 1.448 Å, intensity 12

Structure and simulated X-ray diffraction stick pattern of TbHo2Tl (a cell relaxed with GGA-PBE; λ = 1.5418 Å (Cu Kα)).
Kinematic intensities with the Lorentz-polarization factor, no thermal factor.

Structural model:
abc: 3.6223 12.8115 10.2303
angles: 90.00 90.00 90.00
Fractional coordinates of all 16 atoms:
Tb 0.0000 0.0395 0.2500
Tb 0.0000 0.9605 0.7500
Tb 0.5000 0.4605 0.7500
Tb 0.5000 0.5395 0.2500
Ho 0.0000 0.3687 0.0295
Ho 0.0000 0.3687 0.4705
Ho 0.0000 0.6313 0.5295
Ho 0.0000 0.6313 0.9705
Ho 0.5000 0.1313 0.5295
Ho 0.5000 0.1313 0.9705
Ho 0.5000 0.8687 0.0295
Ho 0.5000 0.8687 0.4705
Tl 0.0000 0.2433 0.7500
Tl 0.0000 0.7567 0.2500
Tl 0.5000 0.2567 0.2500
Tl 0.5000 0.7433 0.7500

Principal peaks in the range 2θ from 5° to 70°, sorted by position:
- 31.05 deg, 2.880 Å, intensity 93
- 32.41 deg, 2.762 Å, intensity 37
- 33.00 deg, 2.715 Å, intensity 100
- 33.60 deg, 2.667 Å, intensity 66
- 35.09 deg, 2.558 Å, intensity 45
- 36.87 deg, 2.438 Å, intensity 36
- 55.92 deg, 1.644 Å, intensity 29
- 61.57 deg, 1.506 Å, intensity 43